Entry 1:
For Nd2Dy12Ho5, a structure optimized by DFT (GGA-PBE) gives the theoretical X-ray diffraction stick pattern in this record (Cu Kα (weighted mean of Kα1 and Kα2)).
Lines closer than 0.1° are merged.

```
Nd2Dy12Ho5
1.0
7.876 -4.606 0.000
7.876 4.606 0.000
-0.155 0.000 8.518
Nd Dy Ho
2 12 5
Direct
0.183 0.817 0.000
0.817 0.183 0.000
0.058 0.058 0.330
0.065 0.682 0.346
0.163 0.524 0.756
0.318 0.935 0.654
0.407 0.407 0.117
0.476 0.837 0.244
0.524 0.163 0.756
0.593 0.593 0.883
0.682 0.065 0.346
0.837 0.476 0.244
0.935 0.318 0.654
0.942 0.942 0.670
0.198 0.198 0.010
0.268 0.268 0.424
0.500 0.500 0.500
0.732 0.732 0.576
0.802 0.802 0.990
```

Principal peaks in the range 2θ from 10° to 80°, in order of rising 2θ:
Position (°2θ)  intensity
30.62  77
31.22  55
31.50  100
31.63  97
31.83  50
33.40  74
35.57  50
36.46  41
55.61  34
60.10  42

***

Entry 2:
For AlOsS2, a structure optimized by DFT (GGA-PBE) gives the theoretical X-ray diffraction stick pattern in this record (Cu Kα (weighted mean of Kα1 and Kα2)).
Lines closer than 0.1° are merged.

```
AlOsS2
1.0
3.202 0.000 0.000
-1.601 2.773 0.000
0.000 0.000 22.103
Al Os S
3 3 6
Direct
0.000 0.000 0.000
0.333 0.667 0.667
0.667 0.333 0.333
0.000 0.000 0.500
0.333 0.667 0.167
0.667 0.333 0.833
0.000 0.000 0.398
0.000 0.000 0.602
0.333 0.667 0.064
0.333 0.667 0.269
0.667 0.333 0.731
0.667 0.333 0.936
```

Principal peaks in the range 2θ from 10° to 80°, in order of rising 2θ:
Position (°2θ)  intensity
12.01  100
24.16  32
32.54  79
33.31  88
36.25  33
36.59  20
46.39  37
52.98  33
57.57  26
70.18  18

***

Entry 3:
For Sm3DyMg3, a structure optimized by DFT (GGA-PBE) gives the theoretical X-ray diffraction stick pattern in this record (Cu Kα (weighted mean of Kα1 and Kα2)).
Lines closer than 0.1° are merged.

```
Sm3DyMg3
1.0
5.374 -5.656 0.000
5.374 5.656 0.000
0.000 0.000 7.028
Sm Dy Mg
6 2 6
Direct
0.000 0.000 0.247
0.000 0.000 0.753
0.000 0.500 0.253
0.000 0.500 0.747
0.500 0.000 0.253
0.500 0.000 0.747
0.312 0.312 0.000
0.688 0.688 0.000
0.256 0.744 0.000
0.276 0.276 0.500
0.325 0.675 0.500
0.675 0.325 0.500
0.724 0.724 0.500
0.744 0.256 0.000
```

Principal peaks in the range 2θ from 10° to 80°, in order of rising 2θ:
Position (°2θ)  intensity
16.50  21
22.83  26
26.10  28
27.85  23
29.94  16
31.64  34
33.35  19
34.37  100
35.90  16
58.12  19

***

Entry 4:
For La10Sm4Er, a structure optimized by DFT (GGA-PBE) gives the theoretical X-ray diffraction stick pattern in this record (Cu Kα (weighted mean of Kα1 and Kα2)).
Lines closer than 0.1° are merged.

```
La10Sm4Er
1.0
-5.284 5.284 4.734
5.284 -5.284 4.734
5.284 5.284 -4.734
La Sm Er
10 4 1
Direct
0.026 0.026 0.702
0.026 0.324 0.000
0.250 0.750 0.500
0.324 0.026 0.000
0.324 0.324 0.298
0.676 0.676 0.702
0.676 0.974 0.000
0.750 0.250 0.500
0.974 0.676 0.000
0.974 0.974 0.298
0.203 0.500 0.703
0.500 0.203 0.703
0.500 0.797 0.297
0.797 0.500 0.297
0.500 0.500 0.000
```

Principal peaks in the range 2θ from 10° to 80°, in order of rising 2θ:
Position (°2θ)  intensity
26.67  25
27.01  100
29.54  60
30.48  24
32.80  80
36.06  31
51.89  32
52.08  44
55.06  24
70.71  38

***

Entry 5:
For KPuZn2F8, a structure optimized by DFT (GGA-PBE) gives the theoretical X-ray diffraction stick pattern in this record (Cu Kα (weighted mean of Kα1 and Kα2)).
Lines closer than 0.1° are merged.

```
KPuZn2F8
1.0
2.998 1.731 5.957
-2.998 1.731 5.957
0.000 -3.461 5.957
K Pu Zn F
1 1 2 8
Direct
0.000 0.000 0.000
0.500 0.500 0.500
0.252 0.252 0.252
0.748 0.748 0.748
0.078 0.796 0.457
0.204 0.543 0.922
0.360 0.360 0.360
0.457 0.078 0.796
0.543 0.922 0.204
0.640 0.640 0.640
0.796 0.457 0.078
0.922 0.204 0.543
```

Principal peaks in the range 2θ from 10° to 80°, in order of rising 2θ:
Position (°2θ)  intensity
14.87  36
17.79  75
26.32  100
29.80  79
34.92  19
40.17  32
44.13  35
50.82  32
52.90  30
63.05  22

***

Entry 6:
For Cs2KHgI6, a structure optimized by DFT (GGA-PBE) gives the theoretical X-ray diffraction stick pattern in this record (Cu Kα (weighted mean of Kα1 and Kα2)).
Lines closer than 0.1° are merged.

```
Cs2KHgI6
1.0
0.000 6.345 6.345
6.345 0.000 6.345
6.345 6.345 0.000
Cs K Hg I
2 1 1 6
Direct
0.250 0.250 0.250
0.750 0.750 0.750
0.000 0.000 0.000
0.500 0.500 0.500
0.264 0.264 0.736
0.264 0.736 0.264
0.264 0.736 0.736
0.736 0.264 0.264
0.736 0.264 0.736
0.736 0.736 0.264
```

Principal peaks in the range 2θ from 10° to 80°, in order of rising 2θ:
Position (°2θ)  intensity
12.08  30
13.96  19
19.79  20
24.30  73
28.13  100
40.20  74
47.53  32
49.78  26
65.83  32
73.06  23

***

Entry 7:
For Ca5Al3, a structure optimized by DFT (GGA-PBE) gives the theoretical X-ray diffraction stick pattern in this record (Cu Kα (weighted mean of Kα1 and Kα2)).
Lines closer than 0.1° are merged.

```
Ca5Al3
1.0
2.987 -8.894 0.000
2.987 8.894 0.000
-2.976 0.000 8.906
Ca Al
10 6
Direct
0.083 0.716 0.799
0.217 0.417 0.634
0.250 0.250 0.001
0.284 0.917 0.201
0.417 0.217 0.634
0.583 0.783 0.366
0.716 0.083 0.799
0.750 0.750 0.999
0.783 0.583 0.366
0.917 0.284 0.201
0.159 0.159 0.321
0.250 0.750 0.500
0.339 0.661 0.000
0.661 0.339 0.000
0.750 0.250 0.500
0.841 0.841 0.679
```

Principal peaks in the range 2θ from 10° to 80°, in order of rising 2θ:
Position (°2θ)  intensity
29.64  68
29.91  20
31.80  65
32.95  100
33.20  41
36.22  37
45.58  12
51.33  17
55.06  21
61.56  12

***

Entry 8:
For La6NiRuPb2, a structure optimized by DFT (GGA-PBE) gives the theoretical X-ray diffraction stick pattern in this record (Cu Kα (weighted mean of Kα1 and Kα2)).
Lines closer than 0.1° are merged.

```
La6NiRuPb2
1.0
5.439 -5.462 0.000
5.439 5.462 0.000
-5.437 0.000 5.460
La Ni Ru Pb
6 1 1 2
Direct
0.000 0.000 0.000
0.000 0.499 0.499
0.004 0.004 0.502
0.498 0.498 0.496
0.499 0.000 0.499
0.501 0.501 0.997
0.251 0.251 0.499
0.755 0.755 0.495
0.001 0.501 0.999
0.501 0.001 0.999
```

Principal peaks in the range 2θ from 10° to 80°, in order of rising 2θ:
Position (°2θ)  intensity
23.06  20
28.35  100
32.80  60
32.94  29
47.13  54
55.86  31
56.04  15
58.64  23
76.13  13
78.33  17